For NaLi5Pd3, a cell relaxed with GGA-PBE gives the computed X-ray diffraction stick pattern in this record (λ = 1.5418 Å (Cu Kα)).
Lines closer than 0.1° are merged.

Top 12 peaks for 15 to 90 degrees two-theta, sorted by position:
h k l, two_theta, d/Å, I (rel.)
1 1 0, 22.88, 3.886, 22
1 1 1, 28.54, 3.128, 100
0 0 2, 34.02, 2.636, 14
3 0 0, 40.19, 2.244, 36
1 1 2, 41.39, 2.181, 21
2 2 1, 50.03, 1.823, 18
3 0 2, 53.65, 1.708, 20
1 1 3, 57.57, 1.601, 13
2 2 2, 59.06, 1.564, 6
4 1 1, 66.03, 1.415, 13
3 0 4, 85.45, 1.136, 8
4 1 3, 86.33, 1.127, 6

Structure:
```
NaLi5Pd3
1.0
7.773 0.000 0.000
-3.886 6.731 0.000
0.000 0.000 5.271
Na Li Pd
2 10 6
Cartesian
0.000 0.000 0.000 Na
0.000 0.000 2.636 Na
-1.270 2.200 1.318 Li
-2.616 4.531 3.953 Li
2.540 0.000 1.318 Li
1.270 2.200 3.953 Li
0.000 4.487 0.000 Li
0.000 4.487 2.636 Li
3.886 2.244 0.000 Li
3.886 2.244 2.636 Li
5.232 0.000 3.953 Li
2.616 4.531 1.318 Li
-1.389 2.406 3.953 Pd
-2.497 4.325 1.318 Pd
2.778 0.000 3.953 Pd
1.389 2.406 1.318 Pd
4.995 0.000 1.318 Pd
2.497 4.325 3.953 Pd
```